1.
Diffraction record for FeHPd4. The powder X-ray diffraction pattern is theoretical, not measured: it uses a PBE-relaxed structure and Cu Kα, 1.54184 Å.
Peak positions follow from Bragg's law for the DFT cell and can differ from measured ones.

Crystal structure
Cell: 4.6897 4.7961 7.3996 Å, 108.84 93.59 90.02°
Positions (direct):
Fe1 0.2495 0.1705 0.0001
Fe2 0.7505 0.8295 0.9999
H1 0.0000 0.5000 0.5000
H2 0.5000 0.0000 0.5000
Pd1 0.2170 0.9680 0.6186
Pd2 0.2352 0.5700 0.8108
Pd3 0.2650 0.7591 0.1892
Pd4 0.2830 0.3494 0.3815
Pd5 0.7170 0.6506 0.6185
Pd6 0.7350 0.2409 0.8108
Pd7 0.7648 0.4300 0.1892
Pd8 0.7830 0.0320 0.3814

Peak list (6 most intense, 2θ from 10° to 80°, low angle first)
d 2.415, 2θ 37.23, rel. 48.4
d 2.340, 2θ 38.48, rel. 77.4
d 2.198, 2θ 41.07, rel. 88.9
d 2.134, 2θ 42.35, rel. 100.0
d 2.098, 2θ 43.13, rel. 89.4
d 1.388, 2θ 67.49, rel. 29.6



2.
Diffraction record for CsNaF2. The powder X-ray diffraction pattern is theoretical, not measured: it uses a PBE-relaxed structure and Cu Kα, 1.54184 Å.
Peak positions follow from Bragg's law for the DFT cell and can differ from measured ones.

Crystal structure
Cell: 4.3519 4.3519 8.7348 Å, 90.00 90.00 90.00°
Positions (direct):
Cs1 0.2500 0.2500 0.1791
Cs2 0.7500 0.7500 0.8209
Na1 0.2500 0.2500 0.5798
Na2 0.7500 0.7500 0.4202
F1 0.2500 0.2500 0.8387
F2 0.2500 0.7500 0.5000
F3 0.7500 0.2500 0.5000
F4 0.7500 0.7500 0.1613

Peak list (6 most intense, 2θ from 10° to 80°, low angle first)
d 3.895, 2θ 22.83, rel. 61.6
d 3.080, 2θ 28.99, rel. 100.0
d 2.908, 2θ 30.74, rel. 43.0
d 2.516, 2θ 35.69, rel. 23.6
d 2.176, 2θ 41.50, rel. 30.4
d 2.115, 2θ 42.76, rel. 25.5



3.
Diffraction record for PuBePb. The powder X-ray diffraction pattern is theoretical, not measured: it uses a PBE-relaxed structure and Cu Kα, 1.54184 Å.
Peak positions follow from Bragg's law for the DFT cell and can differ from measured ones.

Crystal structure
Cell: 6.5152 6.5152 11.0112 Å, 90.00 90.00 120.00°
Positions (direct):
Pu1 0.0000 0.0000 0.0000
Pu2 0.0000 0.0000 0.3333
Pu3 0.0000 0.0000 0.6667
Pu4 0.0000 0.5000 0.1667
Pu5 0.5000 0.0000 0.5000
Pu6 0.5000 0.5000 0.8333
Be1 0.1969 0.5985 0.6667
Be2 0.4015 0.5985 0.3333
Be3 0.4015 0.8031 0.0000
Be4 0.5985 0.1969 0.0000
Be5 0.5985 0.4015 0.3333
Be6 0.8031 0.4015 0.6667
Pb1 0.0000 0.5000 0.4534
Pb2 0.0000 0.5000 0.8799
Pb3 0.5000 0.0000 0.2133
Pb4 0.5000 0.0000 0.7867
Pb5 0.5000 0.5000 0.1201
Pb6 0.5000 0.5000 0.5466

Peak list (6 most intense, 2θ from 10° to 80°, low angle first)
d 3.077, 2θ 29.02, rel. 50.3
d 2.821, 2θ 31.72, rel. 100.0
d 2.474, 2θ 36.31, rel. 19.4
d 2.436, 2θ 36.89, rel. 28.7
d 1.844, 2θ 49.43, rel. 24.5
d 1.629, 2θ 56.50, rel. 20.2



4.
Diffraction record for Er2NpS4. The powder X-ray diffraction pattern is theoretical, not measured: it uses a PBE-relaxed structure and Cu Kα, 1.54184 Å.
Peak positions follow from Bragg's law for the DFT cell and can differ from measured ones.

Crystal structure
Cell: 7.4925 7.4925 7.4925 Å, 111.13 108.68 108.62°
Positions (direct):
Er1 0.0004 0.2504 0.7500
Er2 0.4996 0.2496 0.2500
Er3 0.5007 0.7500 0.2507
Er4 0.9993 0.2500 0.2493
Np1 0.2500 0.8745 0.6245
Np2 0.7500 0.6255 0.8755
S1 0.0623 0.0046 0.9405
S2 0.0633 0.5586 0.1219
S3 0.4367 0.5586 0.4953
S4 0.4377 0.3782 0.9423
S5 0.5632 0.9414 0.0047
S6 0.5641 0.1218 0.5595
S7 0.9359 0.4954 0.5577
S8 0.9368 0.9414 0.3781

Peak list (6 most intense, 2θ from 10° to 80°, low angle first)
d 4.370, 2θ 20.32, rel. 32.1
d 3.549, 2θ 25.09, rel. 100.0
d 2.688, 2θ 33.34, rel. 47.7
d 2.330, 2θ 38.64, rel. 54.6
d 2.185, 2θ 41.32, rel. 32.5
d 1.747, 2θ 52.37, rel. 27.6